Entry 1:
Starting from a structure optimized by DFT (PBE), the powder XRD pattern of TmU4S7 was simulated for copper Kα.
Kinematic intensities with the Lorentz-polarization factor, no thermal factor.

Atomic structure:
```
data_TmU4S7
_cell_length_a 4.7469
_cell_length_b 4.7469
_cell_length_c 11.9138
_cell_angle_alpha 90.00
_cell_angle_beta 90.00
_cell_angle_gamma 120.00
_symmetry_space_group_name_H-M 'P -3 m 1'
_symmetry_Int_Tables_number 164
_symmetry_space_group_name_Hall '-P 3 2"'
loop_
_atom_site_label
_atom_site_type_symbol
_atom_site_fract_x
_atom_site_fract_y
_atom_site_fract_z
Tm1 Tm 0.0000 0.0000 0.0000
U1 U 0.3333 0.6667 0.1923
U2 U 0.3333 0.6667 0.4100
S1 S 0.0000 0.0000 0.2232
S2 S 0.0000 0.0000 0.5000
S3 S 0.3333 0.6667 0.6403
S4 S 0.3333 0.6667 0.9446
```

The 12 most intense peaks (2θ from 10° to 90°), low angle first:
- 2θ = 21.62°, I 110
- 2θ = 22.88°, I 1000
- 2θ = 37.28°, I 688
- 2θ = 37.75°, I 168
- 2θ = 37.91°, I 746
- 2θ = 44.74°, I 184
- 2θ = 54.22°, I 235
- 2θ = 54.57°, I 356
- 2θ = 60.05°, I 160
- 2θ = 68.06°, I 243
- 2θ = 68.47°, I 135
- 2θ = 80.97°, I 209

=====

Entry 2:
Starting from a structure optimized by DFT (PBE), the powder XRD pattern of Tm2US5 was simulated for copper Kα.
Kinematic intensities with the Lorentz-polarization factor, no thermal factor.

Atomic structure:
```
data_Tm2US5
_cell_length_a 5.273
_cell_length_b 12.939
_cell_length_c 13.066
_cell_angle_alpha 90.00
_cell_angle_beta 90.00
_cell_angle_gamma 90.00
_symmetry_space_group_name_H-M 'C m c m'
_symmetry_Int_Tables_number 63
_symmetry_space_group_name_Hall '-C 2c 2'
loop_
_atom_site_label
_atom_site_type_symbol
_atom_site_fract_x
_atom_site_fract_y
_atom_site_fract_z
Tm1 Tm 0.000 0.146 0.056
U1 U 0.000 0.200 0.750
S1 S 0.000 0.047 0.620
S2 S 0.000 0.242 0.250
S3 S 0.000 0.316 0.572
```

The 12 most intense peaks (2θ from 10° to 90°), low angle first:
- 2θ = 13.69°, I 819
- 2θ = 18.17°, I 1000
- 2θ = 19.37°, I 416
- 2θ = 24.64°, I 909
- 2θ = 26.70°, I 601
- 2θ = 27.44°, I 842
- 2θ = 30.85°, I 297
- 2θ = 34.00°, I 569
- 2θ = 34.54°, I 449
- 2θ = 42.45°, I 551
- 2θ = 44.18°, I 326
- 2θ = 49.25°, I 325

=====

Entry 3:
Starting from a structure optimized by DFT (PBE), the powder XRD pattern of Tm2VS was simulated for copper Kα.
Kinematic intensities with the Lorentz-polarization factor, no thermal factor.

Atomic structure:
```
data_Tm2VS
_cell_length_a 3.4874
_cell_length_b 3.4874
_cell_length_c 27.2026
_cell_angle_alpha 90.00
_cell_angle_beta 90.00
_cell_angle_gamma 120.00
_symmetry_space_group_name_H-M 'R -3 m'
_symmetry_Int_Tables_number 166
_symmetry_space_group_name_Hall '-R 3 2"'
loop_
_atom_site_label
_atom_site_type_symbol
_atom_site_fract_x
_atom_site_fract_y
_atom_site_fract_z
Tm1 Tm 0.0000 0.0000 0.1036
V1 V 0.0000 0.0000 0.0000
S1 S 0.0000 0.0000 0.5000
```

The 12 most intense peaks (2θ from 10° to 90°), low angle first:
- 2θ = 19.58°, I 269
- 2θ = 29.55°, I 439
- 2θ = 29.76°, I 1000
- 2θ = 30.31°, I 358
- 2θ = 32.44°, I 413
- 2θ = 33.95°, I 878
- 2θ = 39.92°, I 330
- 2θ = 44.84°, I 675
- 2θ = 47.52°, I 185
- 2θ = 52.48°, I 441
- 2θ = 61.38°, I 382
- 2θ = 71.45°, I 166

=====

Please write out number 2 again, unchanged.
Starting from a structure optimized by DFT (PBE), the powder XRD pattern of Tm2US5 was simulated for copper Kα.
Kinematic intensities with the Lorentz-polarization factor, no thermal factor.

Atomic structure:
```
data_Tm2US5
_cell_length_a 5.273
_cell_length_b 12.939
_cell_length_c 13.066
_cell_angle_alpha 90.00
_cell_angle_beta 90.00
_cell_angle_gamma 90.00
_symmetry_space_group_name_H-M 'C m c m'
_symmetry_Int_Tables_number 63
_symmetry_space_group_name_Hall '-C 2c 2'
loop_
_atom_site_label
_atom_site_type_symbol
_atom_site_fract_x
_atom_site_fract_y
_atom_site_fract_z
Tm1 Tm 0.000 0.146 0.056
U1 U 0.000 0.200 0.750
S1 S 0.000 0.047 0.620
S2 S 0.000 0.242 0.250
S3 S 0.000 0.316 0.572
```

The 12 most intense peaks (2θ from 10° to 90°), low angle first:
- 2θ = 13.69°, I 819
- 2θ = 18.17°, I 1000
- 2θ = 19.37°, I 416
- 2θ = 24.64°, I 909
- 2θ = 26.70°, I 601
- 2θ = 27.44°, I 842
- 2θ = 30.85°, I 297
- 2θ = 34.00°, I 569
- 2θ = 34.54°, I 449
- 2θ = 42.45°, I 551
- 2θ = 44.18°, I 326
- 2θ = 49.25°, I 325